[1]
For CePa2F8, a structure optimized by DFT (GGA-PBE) gives the calculated powder diffractogram in this record (Cu Kα, 1.54184 Å).
No peak broadening, texture or thermal motion is included.

Structural model:
Cell: 13.133 4.933 6.416 Å, 90.00 118.29 90.00°
Space group C2/m (No. 12)
One atom of each set of equivalent atoms:
Ce (0.000, 0.000, 0.000) x2
Pa (0.230, 0.000, 0.728) x4
F (0.090, 0.500, 0.954) x4
F (0.139, 0.252, 0.372) x8
F (0.224, 0.000, 0.116) x4

Top 10 peaks for 5° ≤ 2θ ≤ 70°, in order of rising 2θ:
(2 0 0), 2θ 15.3, d = 5.782 Å, I 710
(1 1 -1), 2θ 22.7, d = 3.911 Å, I 485
(1 1 1), 2θ 27.4, d = 3.255 Å, I 879
(3 1 -1), 2θ 27.7, d = 3.224 Å, I 1000
(2 0 -2), 2θ 27.8, d = 3.208 Å, I 421
(4 0 0), 2θ 30.9, d = 2.891 Å, I 265
(0 2 0), 2θ 36.4, d = 2.466 Å, I 278
(2 2 -2), 2θ 46.4, d = 1.955 Å, I 359
(4 2 0), 2θ 48.5, d = 1.876 Å, I 265
(5 1 -3), 2θ 49.3, d = 1.849 Å, I 360

---

[2]
For Tm3Si4Rh, a structure optimized by DFT (GGA-PBE) gives the calculated powder diffractogram in this record (Cu Kα, 1.54184 Å).
No peak broadening, texture or thermal motion is included.

Structural model:
Cell: 4.188 5.598 14.378 Å, 90.00 90.00 90.00°
Space group Immm (No. 71)
One atom of each set of equivalent atoms:
Tm (0.000, 0.000, 0.000) x2
Tm (0.000, 0.500, 0.194) x4
Si (0.000, 0.292, 0.379) x8
Rh (0.000, 0.000, 0.500) x2

Top 10 peaks for 5° ≤ 2θ ≤ 70°, in order of rising 2θ:
(0 1 3), 2θ 24.5, d = 3.641 Å, I 312
(1 1 2), 2θ 29.4, d = 3.039 Å, I 1000
(0 2 0), 2θ 32.0, d = 2.799 Å, I 187
(1 1 4), 2θ 36.7, d = 2.452 Å, I 123
(1 0 5), 2θ 38.0, d = 2.370 Å, I 211
(1 2 1), 2θ 39.2, d = 2.297 Å, I 103
(0 2 4), 2θ 40.9, d = 2.208 Å, I 133
(2 0 0), 2θ 43.2, d = 2.094 Å, I 272
(1 3 2), 2θ 55.4, d = 1.659 Å, I 173
(1 1 8), 2θ 58.2, d = 1.584 Å, I 166

---

[3]
For Al3V13, a structure optimized by DFT (GGA-PBE) gives the calculated powder diffractogram in this record (Cu Kα, 1.54184 Å).
No peak broadening, texture or thermal motion is included.

Structural model:
Cell: 6.104 8.547 8.501 Å, 90.00 90.00 90.00°
Space group Amm2 (No. 38)
One atom of each set of equivalent atoms:
Al (0.000, 0.000, 0.000) x2
Al (0.251, 0.000, 0.262) x4
V (0.000, 0.000, 0.517) x2
V (0.000, 0.240, 0.752) x4
V (0.254, 0.247, 0.509) x8
V (0.257, 0.000, 0.754) x4
V (0.500, 0.000, 0.000) x2
V (0.500, 0.000, 0.516) x2
V (0.500, 0.241, 0.753) x4

Top 10 peaks for 5° ≤ 2θ ≤ 70°, in order of rising 2θ:
(0 1 1), 2θ 14.7, d = 6.027 Å, I 81
(0 2 0), 2θ 20.8, d = 4.278 Å, I 22
(2 0 2), 2θ 36.2, d = 2.480 Å, I 8
(2 2 2), 2θ 42.1, d = 2.144 Å, I 1000
(0 4 0), 2θ 42.3, d = 2.137 Å, I 245
(0 0 4), 2θ 42.5, d = 2.125 Å, I 241
(2 3 1), 2θ 44.8, d = 2.023 Å, I 9
(0 5 1), 2θ 54.7, d = 1.677 Å, I 17
(4 0 0), 2θ 60.7, d = 1.526 Å, I 77
(0 4 4), 2θ 61.5, d = 1.507 Å, I 143

---

[4]
For VMo4W4, a structure optimized by DFT (GGA-PBE) gives the calculated powder diffractogram in this record (Cu Kα, 1.54184 Å).
No peak broadening, texture or thermal motion is included.

Structural model:
Cell: 4.474 9.454 13.400 Å, 90.00 90.00 90.00°
Space group Fmmm (No. 69)
One atom of each set of equivalent atoms:
V (0.000, 0.000, 0.000) x4
Mo (0.000, 0.166, 0.166) x16
W (0.000, 0.000, 0.334) x8
W (0.000, 0.166, 0.500) x8

Top 10 peaks for 5° ≤ 2θ ≤ 70°, in order of rising 2θ:
(1 1 1), 2θ 23.0, d = 3.869 Å, I 206
(0 2 4), 2θ 32.8, d = 2.733 Å, I 28
(2 0 0), 2θ 40.4, d = 2.235 Å, I 528
(1 3 3), 2θ 40.4, d = 2.232 Å, I 1000
(2 2 2), 2θ 46.9, d = 1.936 Å, I 22
(1 1 7), 2θ 52.9, d = 1.731 Å, I 32
(1 5 1), 2θ 53.0, d = 1.727 Å, I 16
(2 0 6), 2θ 58.4, d = 1.580 Å, I 184
(0 6 0), 2θ 58.6, d = 1.576 Å, I 82
(2 4 4), 2θ 63.7, d = 1.461 Å, I 19

---

[5]
For Ni3B2, a structure optimized by DFT (GGA-PBE) gives the calculated powder diffractogram in this record (Cu Kα, 1.54184 Å).
No peak broadening, texture or thermal motion is included.

Structural model:
Cell: 5.0664 5.0664 12.5416 Å, 90.00 90.00 120.00°
Space group R-3c (No. 167, hexagonal axes)
One atom of each set of equivalent atoms:
Ni (0.0000, 0.3564, 0.2500) x18
B (0.0000, 0.0000, 0.1776) x12

Top 10 peaks for 5° ≤ 2θ ≤ 70°, in order of rising 2θ:
(1 0 4), 2θ 35.2, d = 2.551 Å, I 11
(1 1 0), 2θ 35.4, d = 2.533 Å, I 186
(1 1 3), 2θ 41.7, d = 2.166 Å, I 1000
(0 0 6), 2θ 43.3, d = 2.090 Å, I 180
(2 0 2), 2θ 43.7, d = 2.071 Å, I 31
(0 2 4), 2θ 50.8, d = 1.797 Å, I 10
(2 1 1), 2θ 55.9, d = 1.644 Å, I 23
(1 1 6), 2θ 57.1, d = 1.612 Å, I 159
(3 0 0), 2θ 63.6, d = 1.463 Å, I 184
(1 2 5), 2θ 67.7, d = 1.383 Å, I 12

---

[6]
For Ta3Nb3W, a structure optimized by DFT (GGA-PBE) gives the calculated powder diffractogram in this record (Cu Kα, 1.54184 Å).
No peak broadening, texture or thermal motion is included.

Structural model:
Cell: 10.917 4.626 10.465 Å, 90.00 90.00 90.00°
Space group Pnma (No. 62)
One atom of each set of equivalent atoms:
Ta (0.087, 0.250, 0.189) x4
Ta (0.174, 0.750, 0.803) x4
Ta (0.194, 0.750, 0.507) x4
Nb (0.055, 0.250, 0.937) x4
Nb (0.060, 0.250, 0.430) x4
Nb (0.206, 0.750, 0.108) x4
W (0.051, 0.250, 0.686) x4

Top 10 peaks for 5° ≤ 2θ ≤ 70°, in order of rising 2θ:
(1 1 3), 2θ 33.2, d = 2.699 Å, I 329
(3 0 3), 2θ 35.7, d = 2.518 Å, I 277
(4 1 0), 2θ 38.3, d = 2.351 Å, I 1000
(0 2 0), 2θ 38.9, d = 2.313 Å, I 543
(1 1 4), 2θ 40.5, d = 2.229 Å, I 703
(3 0 4), 2θ 42.6, d = 2.124 Å, I 264
(3 2 3), 2θ 53.8, d = 1.703 Å, I 172
(5 0 4), 2θ 54.8, d = 1.676 Å, I 126
(3 2 4), 2θ 59.0, d = 1.564 Å, I 206
(5 2 4), 2θ 69.2, d = 1.357 Å, I 125

---

[7]
For Ta7Mo, a structure optimized by DFT (GGA-PBE) gives the calculated powder diffractogram in this record (Cu Kα, 1.54184 Å).
No peak broadening, texture or thermal motion is included.

Structural model:
Cell: 6.575 13.236 3.291 Å, 90.00 90.00 90.00°
Space group Cmmm (No. 65)
One atom of each set of equivalent atoms:
Ta (0.000, 0.000, 0.000) x2
Ta (0.000, 0.247, 0.000) x4
Ta (0.243, 0.378, 0.500) x8
Mo (0.000, 0.500, 0.000) x2

Top 10 peaks for 5° ≤ 2θ ≤ 70°, in order of rising 2θ:
(1 1 0), 2θ 15.0, d = 5.888 Å, I 11
(2 2 0), 2θ 30.3, d = 2.945 Å, I 11
(1 1 1), 2θ 31.1, d = 2.873 Å, I 12
(1 5 0), 2θ 36.6, d = 2.456 Å, I 7
(0 4 1), 2θ 38.6, d = 2.333 Å, I 1000
(2 0 1), 2θ 38.7, d = 2.326 Å, I 497
(0 8 0), 2θ 55.5, d = 1.655 Å, I 87
(0 0 2), 2θ 55.9, d = 1.645 Å, I 172
(2 8 1), 2θ 69.8, d = 1.348 Å, I 175
(2 4 2), 2θ 70.0, d = 1.344 Å, I 176